[1]
Computed powder X-ray diffraction pattern
Compound: BeF2
Radiation: Cu Kα
Structure: a DFT-relaxed cell (GGA-PBE, the Materials Project)
Neutral-atom scattering factors, no anomalous dispersion.

Peak list (10 most intense, 10 to 90 degrees two-theta, in order of rising 2θ)
- 14.67°, 6.036 Å, rel. 50, hkl 1 0 -1
- 25.88°, 3.443 Å, rel. 65, hkl 1 1 -2
- 28.28°, 3.156 Å, rel. 100, hkl 0 4 0
- 29.17°, 3.062 Å, rel. 69, hkl 2 0 0
- 31.91°, 2.805 Å, rel. 33, hkl 1 4 0
- 32.86°, 2.726 Å, rel. 32, hkl 1 3 -2
- 38.66°, 2.329 Å, rel. 59, hkl 1 5 -1
- 40.21°, 2.243 Å, rel. 62, hkl 3 1 -1
- 40.34°, 2.236 Å, rel. 50, hkl 1 2 2
- 41.40°, 2.181 Å, rel. 31, hkl 2 4 -2

Atomic structure:
```
data_BeF2
_space_group_name_H-M_alt 'P 1 21 1'
_space_group_IT_number 4
_space_group_name_Hall 'P 2yb'
_cell_length_a 6.930
_cell_length_b 12.622
_cell_length_c 7.167
_cell_angle_alpha 90.00
_cell_angle_beta 117.96
_cell_angle_gamma 90.00
loop_
_atom_site_label
_atom_site_fract_x
_atom_site_fract_y
_atom_site_fract_z
Be1 0.007 0.269 0.095
Be2 0.049 0.495 0.143
Be3 0.056 0.995 0.315
Be4 0.086 0.205 0.734
Be5 0.413 0.500 0.766
Be6 0.445 0.709 0.181
Be7 0.452 0.210 0.360
Be8 0.492 0.437 0.405
F1 0.008 0.379 0.188
F2 0.028 0.742 0.483
F3 0.040 0.084 0.775
F4 0.040 0.278 0.894
F5 0.056 0.003 0.108
F6 0.149 0.493 0.673
F7 0.194 0.198 0.263
F8 0.226 0.714 0.987
F9 0.273 0.991 0.511
F10 0.306 0.507 0.235
F11 0.352 0.209 0.834
F12 0.448 0.701 0.391
F13 0.455 0.428 0.603
F14 0.457 0.621 0.721
F15 0.466 0.963 0.017
F16 0.496 0.325 0.315
```

***

[2]
Computed powder X-ray diffraction pattern
Compound: BeF2
Radiation: Cu Kα
Structure: a DFT-relaxed cell (GGA-PBE, the Materials Project)
Neutral-atom scattering factors, no anomalous dispersion.

Peak list (10 most intense, 10 to 90 degrees two-theta, in order of rising 2θ)
- 22.66°, 3.924 Å, rel. 18, hkl 2 0 -1
- 23.41°, 3.800 Å, rel. 100, hkl 1 1 1
- 28.15°, 3.170 Å, rel. 21, hkl 2 0 -2
- 28.60°, 3.121 Å, rel. 43, hkl 1 1 -2
- 29.25°, 3.053 Å, rel. 43, hkl 1 1 2
- 36.26°, 2.478 Å, rel. 26, hkl 1 1 -3
- 37.05°, 2.427 Å, rel. 39, hkl 1 1 3
- 37.58°, 2.393 Å, rel. 19, hkl 3 1 -1
- 38.32°, 2.349 Å, rel. 28, hkl 3 1 1
- 42.58°, 2.123 Å, rel. 16, hkl 3 1 2

Atomic structure:
```
data_BeF2
_space_group_name_H-M_alt 'C 1 2 1'
_space_group_IT_number 5
_space_group_name_Hall 'C 2y'
_cell_length_a 8.539
_cell_length_b 4.875
_cell_length_c 9.032
_cell_angle_alpha 90.00
_cell_angle_beta 92.54
_cell_angle_gamma 90.00
loop_
_atom_site_label
_atom_site_fract_x
_atom_site_fract_y
_atom_site_fract_z
Be1 0.000 0.000 0.000
Be2 0.235 0.629 0.167
F1 0.104 0.814 0.105
F2 0.111 0.186 0.909
F3 0.213 0.401 0.260
```

***

[3]
Computed powder X-ray diffraction pattern
Compound: BeF2
Radiation: Cu Kα
Structure: a DFT-relaxed cell (GGA-PBE, the Materials Project)
Neutral-atom scattering factors, no anomalous dispersion.

Peak list (10 most intense, 10 to 90 degrees two-theta, in order of rising 2θ)
- 22.81°, 3.899 Å, rel. 100, hkl 1 1 0
- 37.54°, 2.396 Å, rel. 14, hkl 0 0 1
- 39.19°, 2.299 Å, rel. 23, hkl 2 0 0
- 41.74°, 2.164 Å, rel. 17, hkl 1 3 0
- 44.38°, 2.041 Å, rel. 9, hkl 1 1 1
- 55.39°, 1.659 Å, rel. 7, hkl 2 0 1
- 57.38°, 1.606 Å, rel. 21, hkl 1 3 1
- 63.80°, 1.459 Å, rel. 6, hkl 0 4 1
- 77.49°, 1.232 Å, rel. 6, hkl 2 4 1
- 84.89°, 1.142 Å, rel. 5, hkl 3 3 1

Atomic structure:
```
data_BeF2
_space_group_name_H-M_alt 'C m m m'
_space_group_IT_number 65
_space_group_name_Hall '-C 2 2'
_cell_length_a 4.597
_cell_length_b 7.357
_cell_length_c 2.396
_cell_angle_alpha 90.00
_cell_angle_beta 90.00
_cell_angle_gamma 90.00
loop_
_atom_site_label
_atom_site_fract_x
_atom_site_fract_y
_atom_site_fract_z
Be1 0.000 0.000 0.000
F1 0.000 0.148 0.500
```

***

[4]
Computed powder X-ray diffraction pattern
Compound: BeF4
Radiation: Cu Kα
Structure: a DFT-relaxed cell (GGA-PBE, the Materials Project)
Neutral-atom scattering factors, no anomalous dispersion.

Peak list (10 most intense, 10 to 90 degrees two-theta, in order of rising 2θ)
- 16.81°, 5.275 Å, rel. 15, hkl 0 0 2
- 17.11°, 5.182 Å, rel. 14, hkl 0 1 1
- 20.29°, 4.376 Å, rel. 65, hkl 1 0 2
- 20.55°, 4.323 Å, rel. 100, hkl 1 1 1
- 22.69°, 3.920 Å, rel. 25, hkl 2 0 0
- 25.26°, 3.525 Å, rel. 25, hkl 1 1 2
- 33.99°, 2.637 Å, rel. 14, hkl 0 0 4
- 34.62°, 2.591 Å, rel. 13, hkl 0 2 2
- 35.39°, 2.536 Å, rel. 24, hkl 3 0 1
- 36.52°, 2.460 Å, rel. 26, hkl 1 2 2

Atomic structure:
```
data_BeF4
_space_group_name_H-M_alt 'P n m a'
_space_group_IT_number 62
_space_group_name_Hall '-P 2ac 2n'
_cell_length_a 7.839
_cell_length_b 5.949
_cell_length_c 10.549
_cell_angle_alpha 90.00
_cell_angle_beta 90.00
_cell_angle_gamma 90.00
loop_
_atom_site_label
_atom_site_fract_x
_atom_site_fract_y
_atom_site_fract_z
Be1 0.232 0.250 0.079
F1 0.037 0.250 0.093
F2 0.189 0.750 0.447
F3 0.204 0.531 0.641
```

***

Repeat the third record exactly.
Computed powder X-ray diffraction pattern
Compound: BeF2
Radiation: Cu Kα
Structure: a DFT-relaxed cell (GGA-PBE, the Materials Project)
Neutral-atom scattering factors, no anomalous dispersion.

Peak list (10 most intense, 10 to 90 degrees two-theta, in order of rising 2θ)
- 22.81°, 3.899 Å, rel. 100, hkl 1 1 0
- 37.54°, 2.396 Å, rel. 14, hkl 0 0 1
- 39.19°, 2.299 Å, rel. 23, hkl 2 0 0
- 41.74°, 2.164 Å, rel. 17, hkl 1 3 0
- 44.38°, 2.041 Å, rel. 9, hkl 1 1 1
- 55.39°, 1.659 Å, rel. 7, hkl 2 0 1
- 57.38°, 1.606 Å, rel. 21, hkl 1 3 1
- 63.80°, 1.459 Å, rel. 6, hkl 0 4 1
- 77.49°, 1.232 Å, rel. 6, hkl 2 4 1
- 84.89°, 1.142 Å, rel. 5, hkl 3 3 1

Atomic structure:
```
data_BeF2
_space_group_name_H-M_alt 'C m m m'
_space_group_IT_number 65
_space_group_name_Hall '-C 2 2'
_cell_length_a 4.597
_cell_length_b 7.357
_cell_length_c 2.396
_cell_angle_alpha 90.00
_cell_angle_beta 90.00
_cell_angle_gamma 90.00
loop_
_atom_site_label
_atom_site_fract_x
_atom_site_fract_y
_atom_site_fract_z
Be1 0.000 0.000 0.000
F1 0.000 0.148 0.500
```

***

Number 3 is which compound?
BeF2